Structure and computed powder XRD pattern of TbBiAs (a structure optimized by DFT (GGA-PBE); Cu Kα X-rays).
No peak broadening, texture or thermal motion is included.

Largest 6 diffraction maxima, by angle, 15 to 90 degrees two-theta:
2θ/deg  Rel. int.
30.34  39
30.65  78
35.44  100
35.91  48
42.48  33
56.95  29

Cell lengths 6.494, 6.494, 6.314 Å; angles 100.98, 100.98, 38.25 degrees
Positions (direct):
1 Tb 0.100 0.100 0.280
2 Tb 0.900 0.900 0.720
3 Bi 0.191 0.191 0.820
4 Bi 0.809 0.809 0.180
5 As 0.500 0.500 0.000
6 As 0.500 0.500 0.500

Structure and computed powder XRD pattern of TbTh2Bi2As2 (a structure optimized by DFT (GGA-PBE); Cu Kα X-rays).
No peak broadening, texture or thermal motion is included.

Largest 6 diffraction maxima, by angle, 15 to 90 degrees two-theta:
2θ/deg  Rel. int.
23.88  81
32.72  100
34.02  62
47.92  71
48.88  23
70.87  23

Cell lengths 8.831, 8.831, 8.831 Å; angles 145.28, 145.28, 49.92 degrees
Positions (direct):
1 Tb 0.000 0.000 0.000
2 Th 0.392 0.392 0.000
3 Th 0.608 0.608 0.000
4 Bi 0.196 0.196 0.000
5 Bi 0.804 0.804 0.000
6 As 0.000 0.500 0.500
7 As 0.500 0.000 0.500

Structure and computed powder XRD pattern of TbThBiAs (a structure optimized by DFT (GGA-PBE); Cu Kα X-rays).
No peak broadening, texture or thermal motion is included.

Largest 6 diffraction maxima, by angle, 15 to 90 degrees two-theta:
2θ/deg  Rel. int.
25.17  37
28.78  39
31.24  100
37.07  40
41.96  59
66.38  24

Cell lengths 7.853, 7.853, 7.853 Å; angles 31.83, 31.83, 31.83 degrees
Positions (direct):
1 Tb 0.000 0.000 0.000
2 Th 0.812 0.812 0.812
3 Bi 0.240 0.240 0.240
4 As 0.405 0.405 0.405

Structure and computed powder XRD pattern of TcBiAs (a structure optimized by DFT (GGA-PBE); Cu Kα X-rays).
No peak broadening, texture or thermal motion is included.

Largest 6 diffraction maxima, by angle, 15 to 90 degrees two-theta:
2θ/deg  Rel. int.
31.35  100
32.04  63
32.66  51
39.70  30
43.58  53
47.26  38

Cell lengths 6.549, 6.761, 6.406 Å; angles 90.00, 110.51, 90.00 degrees
Positions (direct):
1 Tc 0.193 0.002 0.189
2 Tc 0.193 0.498 0.689
3 Tc 0.807 0.502 0.311
4 Tc 0.807 0.998 0.811
5 Bi 0.366 0.620 0.158
6 Bi 0.366 0.880 0.658
7 Bi 0.634 0.120 0.342
8 Bi 0.634 0.380 0.842
9 As 0.141 0.179 0.844
10 As 0.141 0.321 0.344
11 As 0.859 0.679 0.656
12 As 0.859 0.821 0.156

Structure and computed powder XRD pattern of Th6BiAs4 (a structure optimized by DFT (GGA-PBE); Cu Kα X-rays).
No peak broadening, texture or thermal motion is included.

Largest 6 diffraction maxima, by angle, 15 to 90 degrees two-theta:
2θ/deg  Rel. int.
27.43  41
27.69  88
28.82  69
29.70  100
42.26  44
51.67  38

Cell lengths 7.283, 7.283, 21.795 Å; angles 90.00, 90.00, 146.20 degrees
Positions (direct):
1 Th 0.000 0.000 0.000
2 Th 0.000 0.000 0.500
3 Th 0.146 0.854 0.750
4 Th 0.272 0.728 0.090
5 Th 0.272 0.728 0.410
6 Th 0.450 0.550 0.662
7 Th 0.450 0.550 0.838
8 Th 0.550 0.450 0.162
9 Th 0.550 0.450 0.338
10 Th 0.728 0.272 0.590
11 Th 0.728 0.272 0.910
12 Th 0.854 0.146 0.250
13 Bi 0.175 0.825 0.250
14 Bi 0.825 0.175 0.750
15 As 0.086 0.914 0.622
16 As 0.086 0.914 0.878
17 As 0.358 0.642 0.538
18 As 0.358 0.642 0.962
19 As 0.642 0.358 0.038
20 As 0.642 0.358 0.462
21 As 0.914 0.086 0.122
22 As 0.914 0.086 0.378

Structure and computed powder XRD pattern of Tl8BiAs2 (a structure optimized by DFT (GGA-PBE); Cu Kα X-rays).
No peak broadening, texture or thermal motion is included.

Largest 6 diffraction maxima, by angle, 15 to 90 degrees two-theta:
2θ/deg  Rel. int.
30.03  14
32.76  100
34.85  19
48.61  14
58.53  13
61.16  14

Cell lengths 9.472, 9.472, 9.472 Å; angles 148.46, 130.00, 60.32 degrees
Positions (direct):
1 Tl 0.114 0.338 0.776
2 Tl 0.158 0.158 0.000
3 Tl 0.297 0.000 0.297
4 Tl 0.439 0.662 0.776
5 Tl 0.561 0.338 0.224
6 Tl 0.703 0.000 0.703
7 Tl 0.842 0.842 0.000
8 Tl 0.886 0.662 0.224
9 Bi 0.000 0.500 0.500
10 As 0.310 0.810 0.500
11 As 0.690 0.190 0.500

Structure and computed powder XRD pattern of Zr2BiAs (a structure optimized by DFT (GGA-PBE); Cu Kα X-rays).
No peak broadening, texture or thermal motion is included.

Largest 6 diffraction maxima, by angle, 15 to 90 degrees two-theta:
2θ/deg  Rel. int.
28.39  100
28.84  75
36.86  97
37.23  38
44.68  50
48.13  24

Cell lengths 8.281, 6.979, 6.693 Å; angles 90.00, 90.00, 90.00 degrees
Positions (direct):
1 Zr 0.098 0.250 0.000
2 Zr 0.098 0.250 0.500
3 Zr 0.328 0.750 0.000
4 Zr 0.328 0.750 0.500
5 Zr 0.672 0.250 0.000
6 Zr 0.672 0.250 0.500
7 Zr 0.902 0.750 0.000
8 Zr 0.902 0.750 0.500
9 Bi 0.385 0.103 0.250
10 Bi 0.385 0.397 0.750
11 Bi 0.615 0.603 0.250
12 Bi 0.615 0.897 0.750
13 As 0.118 0.571 0.250
14 As 0.118 0.929 0.750
15 As 0.882 0.071 0.250
16 As 0.882 0.429 0.750

Structure and computed powder XRD pattern of AsBr3 (a structure optimized by DFT (GGA-PBE); Cu Kα X-rays).
No peak broadening, texture or thermal motion is included.

Largest 6 diffraction maxima, by angle, 15 to 90 degrees two-theta:
2θ/deg  Rel. int.
19.39  100
21.94  44
24.87  61
34.35  43
48.19  48
51.10  44

Cell lengths 5.221, 7.729, 9.514 Å; angles 90.00, 90.00, 90.00 degrees
Positions (direct):
1 As 0.250 0.250 0.166
2 As 0.750 0.750 0.834
3 Br 0.250 0.016 0.324
4 Br 0.250 0.484 0.324
5 Br 0.250 0.750 0.907
6 Br 0.750 0.250 0.093
7 Br 0.750 0.516 0.676
8 Br 0.750 0.984 0.676

Structure and computed powder XRD pattern of AsBr3 (a structure optimized by DFT (GGA-PBE); Cu Kα X-rays).
No peak broadening, texture or thermal motion is included.

Largest 6 diffraction maxima, by angle, 15 to 90 degrees two-theta:
2θ/deg  Rel. int.
22.35  100
26.96  65
27.27  39
28.71  44
47.99  47
49.11  52

Cell lengths 4.481, 11.503, 13.079 Å; angles 90.00, 90.00, 90.00 degrees
Positions (direct):
1 As 0.026 0.196 0.210
2 As 0.474 0.804 0.710
3 As 0.526 0.304 0.790
4 As 0.974 0.696 0.290
5 Br 0.212 0.652 0.626
6 Br 0.229 0.802 0.871
7 Br 0.242 0.968 0.633
8 Br 0.258 0.032 0.133
9 Br 0.271 0.198 0.371
10 Br 0.288 0.348 0.126
11 Br 0.712 0.848 0.374
12 Br 0.729 0.698 0.129
13 Br 0.742 0.532 0.367
14 Br 0.758 0.468 0.867
15 Br 0.771 0.302 0.629
16 Br 0.788 0.152 0.874

Structure and computed powder XRD pattern of AsBr2 (a structure optimized by DFT (GGA-PBE); Cu Kα X-rays).
No peak broadening, texture or thermal motion is included.

Largest 6 diffraction maxima, by angle, 15 to 90 degrees two-theta:
2θ/deg  Rel. int.
30.27  20
33.72  48
37.93  100
42.60  16
54.03  15
67.88  15

Cell lengths 15.149, 15.149, 15.149 Å; angles 167.14, 167.14, 18.23 degrees
Positions (direct):
1 As 0.375 0.625 0.750
2 As 0.625 0.375 0.250
3 Br 0.066 0.816 0.250
4 Br 0.184 0.934 0.250
5 Br 0.816 0.066 0.750
6 Br 0.934 0.184 0.750

Structure and computed powder XRD pattern of AsC2Br2 (a structure optimized by DFT (GGA-PBE); Cu Kα X-rays).
No peak broadening, texture or thermal motion is included.

Largest 6 diffraction maxima, by angle, 15 to 90 degrees two-theta:
2θ/deg  Rel. int.
24.38  100
34.75  40
39.00  50
49.96  16
53.22  38
56.35  18

Cell lengths 5.773, 5.773, 5.773 Å; angles 101.54, 101.54, 126.86 degrees
Positions (direct):
1 As 0.000 0.000 0.000
2 C 0.375 0.375 0.000
3 C 0.625 0.625 0.000
4 Br 0.250 0.750 0.500
5 Br 0.750 0.250 0.500

Structure and computed powder XRD pattern of NbAs2CBr (a structure optimized by DFT (GGA-PBE); Cu Kα X-rays).
No peak broadening, texture or thermal motion is included.

Largest 6 diffraction maxima, by angle, 15 to 90 degrees two-theta:
2θ/deg  Rel. int.
35.56  100
39.85  21
42.01  35
59.28  25
69.57  14
72.56  24

Cell lengths 4.302, 4.302, 4.525 Å; angles 90.00, 90.00, 90.00 degrees
Positions (direct):
1 Nb 0.000 0.000 0.000
2 As 0.000 0.500 0.500
3 As 0.500 0.000 0.500
4 C 0.500 0.500 0.500
5 Br 0.500 0.500 0.000

Structure and computed powder XRD pattern of AsPCBr2 (a structure optimized by DFT (GGA-PBE); Cu Kα X-rays).
No peak broadening, texture or thermal motion is included.

Largest 6 diffraction maxima, by angle, 15 to 90 degrees two-theta:
2θ/deg  Rel. int.
34.15  100
39.25  39
40.40  18
56.71  13
57.59  25
67.89  26

Cell lengths 4.591, 4.591, 4.466 Å; angles 90.00, 90.00, 90.00 degrees
Positions (direct):
1 As 0.000 0.000 0.000
2 P 0.500 0.500 0.000
3 C 0.000 0.000 0.500
4 Br 0.000 0.500 0.500
5 Br 0.500 0.000 0.500

Structure and computed powder XRD pattern of Ca2AsBrO4 (a structure optimized by DFT (GGA-PBE); Cu Kα X-rays).
No peak broadening, texture or thermal motion is included.

Largest 6 diffraction maxima, by angle, 15 to 90 degrees two-theta:
2θ/deg  Rel. int.
20.43  37
22.46  100
32.79  73
35.30  48
39.74  40
44.28  48

Cell lengths 5.048, 5.048, 9.263 Å; angles 113.20, 113.20, 37.41 degrees
Positions (direct):
1 Ca 0.178 0.178 0.282
2 Ca 0.822 0.822 0.718
3 As 0.000 0.000 0.500
4 Br 0.500 0.500 0.000
5 O 0.142 0.142 0.694
6 O 0.392 0.392 0.552
7 O 0.608 0.608 0.448
8 O 0.858 0.858 0.306